# Ba2Ag5Sn3
Simulated XRD peak list, copper Kα. Input: DFT lattice parameters and positions (PBE).
No peak broadening, texture or thermal motion is included.

Cell and atoms:
Unit cell a=4.993 b=4.993 c=11.180 alpha=90.00 beta=90.00 gamma=90.00
Atoms (fractional coordinates):
Ba  0.000  0.500  0.237
Ba  0.500  0.000  0.763
Ag  0.000  0.000  0.000
Ag  0.000  0.000  0.500
Ag  0.000  0.500  0.890
Ag  0.500  0.000  0.110
Ag  0.500  0.500  0.000
Sn  0.000  0.500  0.644
Sn  0.500  0.000  0.356
Sn  0.500  0.500  0.500

Top 10 peaks for 2θ from 15° to 90°, by angle:
2θ = 29.9°, d = 2.986 Å, intensity 100; 2θ = 36.0°, d = 2.497 Å, intensity 51; 2θ = 41.2°, d = 2.191 Å, intensity 21; 2θ = 44.4°, d = 2.041 Å, intensity 12; 2θ = 47.5°, d = 1.916 Å, intensity 20; 2θ = 51.8°, d = 1.765 Å, intensity 18; 2θ = 55.8°, d = 1.648 Å, intensity 8; 2θ = 58.4°, d = 1.580 Å, intensity 12; 2θ = 61.0°, d = 1.520 Å, intensity 21; 2θ = 68.2°, d = 1.375 Å, intensity 9

# Ba3SrAg
Simulated XRD peak list, copper Kα. Input: DFT lattice parameters and positions (PBE).
No peak broadening, texture or thermal motion is included.

Cell and atoms:
Unit cell a=7.811 b=7.811 c=15.459 alpha=111.70 beta=111.70 gamma=35.22
Atoms (fractional coordinates):
Ba  0.000  0.000  0.000
Ba  0.024  0.024  0.379
Ba  0.220  0.220  0.854
Ba  0.338  0.338  0.144
Ba  0.670  0.670  0.245
Ba  0.696  0.696  0.611
Sr  0.358  0.358  0.477
Sr  0.472  0.472  0.756
Ag  0.015  0.015  0.617
Ag  0.670  0.670  0.996

Top 10 peaks for 2θ from 15° to 90°, by angle:
2θ = 25.5°, d = 3.499 Å, intensity 33; 2θ = 25.6°, d = 3.482 Å, intensity 91; 2θ = 26.0°, d = 3.421 Å, intensity 59; 2θ = 26.5°, d = 3.362 Å, intensity 42; 2θ = 26.7°, d = 3.345 Å, intensity 63; 2θ = 27.1°, d = 3.287 Å, intensity 100; 2θ = 28.4°, d = 3.144 Å, intensity 36; 2θ = 28.9°, d = 3.091 Å, intensity 38; 2θ = 29.1°, d = 3.070 Å, intensity 41; 2θ = 38.1°, d = 2.363 Å, intensity 45

# Ba4SrAg2
Simulated XRD peak list, copper Kα. Input: DFT lattice parameters and positions (PBE).
No peak broadening, texture or thermal motion is included.

Cell and atoms:
Unit cell a=8.731 b=7.801 c=10.877 alpha=90.00 beta=113.65 gamma=90.00
Atoms (fractional coordinates):
Ba  0.169  0.250  0.002
Ba  0.217  0.501  0.432
Ba  0.217  0.999  0.432
Ba  0.255  0.750  0.798
Ba  0.745  0.250  0.202
Ba  0.783  0.001  0.568
Ba  0.783  0.499  0.568
Ba  0.831  0.750  0.998
Sr  0.463  0.750  0.210
Sr  0.537  0.250  0.790
Ag  0.136  0.250  0.666
Ag  0.468  0.250  0.336
Ag  0.532  0.750  0.664
Ag  0.864  0.750  0.334

Top 10 peaks for 2θ from 15° to 90°, by angle:
2θ = 22.2°, d = 3.999 Å, intensity 24; 2θ = 24.5°, d = 3.628 Å, intensity 88; 2θ = 25.0°, d = 3.558 Å, intensity 38; 2θ = 27.1°, d = 3.287 Å, intensity 100; 2θ = 28.4°, d = 3.139 Å, intensity 56; 2θ = 29.1°, d = 3.071 Å, intensity 25; 2θ = 30.7°, d = 2.909 Å, intensity 61; 2θ = 33.6°, d = 2.666 Å, intensity 45; 2θ = 42.8°, d = 2.113 Å, intensity 24; 2θ = 45.0°, d = 2.013 Å, intensity 29

# BaSr12Ag6
Simulated XRD peak list, copper Kα. Input: DFT lattice parameters and positions (PBE).
No peak broadening, texture or thermal motion is included.

Cell and atoms:
Unit cell a=10.097 b=10.097 c=10.097 alpha=109.47 beta=109.47 gamma=109.47
Atoms (fractional coordinates):
Ba  0.000  0.000  0.000
Sr  0.125  0.309  0.816
Sr  0.184  0.492  0.309
Sr  0.184  0.875  0.691
Sr  0.309  0.184  0.492
Sr  0.309  0.816  0.125
Sr  0.492  0.309  0.184
Sr  0.508  0.691  0.816
Sr  0.691  0.184  0.875
Sr  0.691  0.816  0.508
Sr  0.816  0.125  0.309
Sr  0.816  0.508  0.691
Sr  0.875  0.691  0.184
Ag  0.121  0.500  0.621
Ag  0.379  0.879  0.500
Ag  0.500  0.379  0.879
Ag  0.500  0.621  0.121
Ag  0.621  0.121  0.500
Ag  0.879  0.500  0.379

Top 10 peaks for 2θ from 15° to 90°, by angle:
2θ = 15.2°, d = 5.830 Å, intensity 24; 2θ = 26.5°, d = 3.366 Å, intensity 21; 2θ = 28.6°, d = 3.116 Å, intensity 100; 2θ = 32.6°, d = 2.748 Å, intensity 15; 2θ = 39.4°, d = 2.287 Å, intensity 42; 2θ = 45.4°, d = 2.000 Å, intensity 16; 2θ = 46.7°, d = 1.943 Å, intensity 16; 2θ = 48.1°, d = 1.891 Å, intensity 18; 2θ = 55.7°, d = 1.649 Å, intensity 16; 2θ = 69.3°, d = 1.355 Å, intensity 16

# BaSrAg3
Simulated XRD peak list, copper Kα. Input: DFT lattice parameters and positions (PBE).
No peak broadening, texture or thermal motion is included.

Cell and atoms:
Unit cell a=14.877 b=14.877 c=4.817 alpha=90.00 beta=90.00 gamma=162.83
Atoms (fractional coordinates):
Ba  0.073  0.927  0.750
Ba  0.927  0.073  0.250
Sr  0.205  0.795  0.250
Sr  0.795  0.205  0.750
Ag  0.324  0.676  0.250
Ag  0.379  0.621  0.750
Ag  0.475  0.525  0.750
Ag  0.525  0.475  0.250
Ag  0.621  0.379  0.250
Ag  0.676  0.324  0.750

Top 10 peaks for 2θ from 15° to 90°, by angle:
2θ = 28.8°, d = 3.098 Å, intensity 100; 2θ = 29.3°, d = 3.053 Å, intensity 48; 2θ = 31.3°, d = 2.855 Å, intensity 20; 2θ = 35.8°, d = 2.511 Å, intensity 58; 2θ = 37.3°, d = 2.408 Å, intensity 33; 2θ = 39.0°, d = 2.310 Å, intensity 14; 2θ = 40.6°, d = 2.221 Å, intensity 26; 2θ = 48.1°, d = 1.891 Å, intensity 24; 2θ = 55.2°, d = 1.663 Å, intensity 31; 2θ = 56.4°, d = 1.633 Å, intensity 19

# Ba3Sr3Ag2
Simulated XRD peak list, copper Kα. Input: DFT lattice parameters and positions (PBE).
No peak broadening, texture or thermal motion is included.

Cell and atoms:
Unit cell a=11.719 b=11.719 c=11.719 alpha=83.77 beta=83.77 gamma=83.77
Atoms (fractional coordinates):
Ba  0.090  0.877  0.266
Ba  0.123  0.734  0.910
Ba  0.226  0.541  0.470
Ba  0.266  0.090  0.877
Ba  0.459  0.530  0.774
Ba  0.470  0.226  0.541
Ba  0.530  0.774  0.459
Ba  0.541  0.470  0.226
Ba  0.734  0.910  0.123
Ba  0.774  0.459  0.530
Ba  0.877  0.266  0.090
Ba  0.910  0.123  0.734
Sr  0.049  0.423  0.782
Sr  0.077  0.244  0.387
Sr  0.218  0.951  0.577
Sr  0.244  0.387  0.077
Sr  0.387  0.077  0.244
Sr  0.423  0.782  0.049
Sr  0.577  0.218  0.951
Sr  0.613  0.923  0.756
Sr  0.756  0.613  0.923
Sr  0.782  0.049  0.423
Sr  0.923  0.756  0.613
Sr  0.951  0.577  0.218
Ag  0.141  0.141  0.141
Ag  0.183  0.231  0.626
Ag  0.231  0.626  0.183
Ag  0.374  0.817  0.769
Ag  0.626  0.183  0.231
Ag  0.769  0.374  0.817
Ag  0.817  0.769  0.374
Ag  0.859  0.859  0.859

Top 10 peaks for 2θ from 15° to 90°, by angle:
2θ = 16.4°, d = 5.401 Å, intensity 14; 2θ = 23.0°, d = 3.865 Å, intensity 17; 2θ = 23.8°, d = 3.733 Å, intensity 24; 2θ = 24.0°, d = 3.707 Å, intensity 14; 2θ = 25.7°, d = 3.465 Å, intensity 100; 2θ = 28.6°, d = 3.120 Å, intensity 17; 2θ = 33.0°, d = 2.715 Å, intensity 23; 2θ = 33.2°, d = 2.701 Å, intensity 41; 2θ = 43.1°, d = 2.099 Å, intensity 22; 2θ = 44.6°, d = 2.032 Å, intensity 14